Starting from a DFT-relaxed cell (GGA-PBE, the Materials Project), the powder XRD pattern of Na11TiNb2Si4P2O26 was simulated for a wavelength of 1.5418 Å.
No peak broadening, texture or thermal motion is included.

Structural model:
```
data_Na11TiNb2Si4P2O26
_chemical_formula_sum 'Na11 Ti1 Nb2 Si4 P2 O26'
_symmetry_space_group_name_H-M 'P 1'
_symmetry_Int_Tables_number 1
_cell_length_a 5.5747
_cell_length_b 7.2469
_cell_length_c 14.7139
_cell_angle_alpha 92.59
_cell_angle_beta 95.40
_cell_angle_gamma 90.55
loop_
_symmetry_equiv_pos_as_xyz
'x,y,z'
loop_
_atom_site_label
_atom_site_fract_x
_atom_site_fract_y
_atom_site_fract_z
Na1 0.0000 0.0000 0.0000
Na2 0.0094 0.5185 0.9968
Na3 0.2088 0.7489 0.2358
Na4 0.2564 0.0217 0.4216
Na5 0.3089 0.2502 0.6333
Na6 0.3213 0.7756 0.6002
Na7 0.5036 0.2571 0.9998
Na8 0.6862 0.7397 0.3993
Na9 0.6986 0.2647 0.3660
Na10 0.7509 0.4935 0.5779
Na11 0.7985 0.7670 0.7650
Ti1 0.5297 0.7585 0.9915
Nb1 0.2018 0.2646 0.2158
Nb2 0.8052 0.2500 0.7837
Si1 0.3059 0.9624 0.8158
Si2 0.3208 0.5388 0.8034
Si3 0.6863 0.9758 0.1948
Si4 0.6999 0.5533 0.1842
P1 0.1904 0.5018 0.4332
P2 0.8169 0.0133 0.5662
O1 0.0452 0.0472 0.7811
O2 0.0704 0.4341 0.7578
O3 0.0913 0.0149 0.5565
O4 0.1818 0.2420 0.0931
O5 0.2451 0.7483 0.0789
O6 0.2480 0.3274 0.3699
O7 0.2680 0.6849 0.3914
O8 0.2997 0.7520 0.7645
O9 0.3332 0.4832 0.5284
O10 0.3409 0.9567 0.9262
O11 0.3456 0.5473 0.9139
O12 0.4538 0.0613 0.2441
O13 0.4855 0.4430 0.2274
O14 0.5210 0.0719 0.7725
O15 0.5541 0.4541 0.7545
O16 0.6570 0.5595 0.0741
O17 0.6682 0.9681 0.0844
O18 0.6741 0.0319 0.4711
O19 0.7078 0.7638 0.2350
O20 0.7394 0.8303 0.6081
O21 0.7590 0.1878 0.6295
O22 0.7693 0.7610 0.9236
O23 0.8256 0.2725 0.9064
O24 0.9160 0.5002 0.4429
O25 0.9365 0.0809 0.2414
O26 0.9614 0.4683 0.2178
```

Peak list (6 most intense, 2θ = 10–90°, most intense first)
hkl, 2θ (°), Rel. int.
1 1 -1, 20.60, 100.0
0 0 5, 30.54, 95.1
1 -2 2, 31.93, 86.0
2 0 -1, 32.26, 84.4
1 2 2, 33.17, 72.5
0 1 -2, 16.83, 60.3